Starting from DFT lattice parameters and positions (GGA-PBE), the PXRD pattern of Hg2GeF5 was simulated for CuKα.

Main lines, by intensity (2θ from 10° to 90°):
3.938 Å, 2θ 22.58, intensity 100, (0 2 1)
5.853 Å, 2θ 15.14, intensity 50, (0 0 1)
5.322 Å, 2θ 16.66, intensity 29, (0 2 0)
2.926 Å, 2θ 30.55, intensity 28, (0 0 2)
2.370 Å, 2θ 37.97, intensity 27, (2 2 -1)
4.285 Å, 2θ 20.73, intensity 24, (1 1 -1)
2.564 Å, 2θ 34.99, intensity 21, (0 2 2)
2.889 Å, 2θ 30.95, intensity 18, (1 3 0)
2.341 Å, 2θ 38.46, intensity 17, (2 0 -2)
2.254 Å, 2θ 39.99, intensity 16, (2 2 0)

Structural model:
Unit cell a=5.311 b=10.645 c=6.244 alpha=90.00 beta=110.40 gamma=90.00
Space group Cm (No. 8)
Unique sites:
Hg: 0.000 0.218 0.000 x4
Ge: 0.457 0.000 0.534 x2
F: 0.081 0.354 0.484 x4
F: 0.192 0.000 0.640 x2
F: 0.202 0.500 0.824 x2
F: 0.221 0.000 0.240 x2


Starting from DFT lattice parameters and positions (GGA-PBE), the PXRD pattern of HgGeF5 was simulated for CuKα.

Main lines, by intensity (2θ from 10° to 90°):
3.288 Å, 2θ 27.12, intensity 100, (1 1 -2)
4.112 Å, 2θ 21.61, intensity 79, (2 0 0)
3.838 Å, 2θ 23.18, intensity 59, (0 2 0)
2.806 Å, 2θ 31.90, intensity 44, (2 2 0)
2.584 Å, 2θ 34.72, intensity 43, (1 1 2)
2.552 Å, 2θ 35.17, intensity 31, (3 1 -2)
5.611 Å, 2θ 15.79, intensity 26, (1 1 0)
1.754 Å, 2θ 52.14, intensity 20, (3 1 2)
2.093 Å, 2θ 43.23, intensity 20, (1 3 -2)
1.812 Å, 2θ 50.35, intensity 19, (4 2 0)

Structural model:
Unit cell a=8.945 b=7.676 c=7.279 alpha=90.00 beta=113.16 gamma=90.00
Space group C2/c (No. 15)
Unique sites:
Hg: 0.000 0.020 0.250 x4
Ge: 0.000 0.500 0.000 x4
F: 0.000 0.418 0.750 x4
F: 0.078 0.289 0.475 x8
F: 0.204 0.419 0.126 x8


Starting from DFT lattice parameters and positions (GGA-PBE), the PXRD pattern of SrHg2GeF6 was simulated for CuKα.

Main lines, by intensity (2θ from 10° to 90°):
4.189 Å, 2θ 21.21, intensity 100, (1 0 1)
3.211 Å, 2θ 27.78, intensity 96, (1 1 0)
2.764 Å, 2θ 32.40, intensity 68, (0 1 2)
1.754 Å, 2θ 52.14, intensity 45, (1 2 2)
2.548 Å, 2θ 35.22, intensity 45, (0 2 1)
2.867 Å, 2θ 31.19, intensity 39, (1 1 1)
2.095 Å, 2θ 43.19, intensity 26, (2 0 2)
6.369 Å, 2θ 13.90, intensity 24, (0 0 1)
1.996 Å, 2θ 45.44, intensity 21, (2 1 1)
1.854 Å, 2θ 49.15, intensity 19, (3 0 0)

Structural model:
Unit cell a=6.4219 b=6.4219 c=6.3692 alpha=90.00 beta=90.00 gamma=120.00
Space group P-3m1 (No. 164)
Unique sites:
Sr: 0.0000 0.0000 0.0000 x1
Hg: 0.3333 0.6667 0.1382 x2
Ge: 0.0000 0.0000 0.5000 x1
F: 0.1311 0.2623 0.6764 x6


Starting from DFT lattice parameters and positions (GGA-PBE), the PXRD pattern of Ge2IF4 was simulated for CuKα.

Main lines, by intensity (2θ from 10° to 90°):
3.751 Å, 2θ 23.72, intensity 100, (0 2 0)
3.583 Å, 2θ 24.85, intensity 95, (0 2 -1)
3.846 Å, 2θ 23.13, intensity 94, (1 0 1)
3.421 Å, 2θ 26.05, intensity 86, (0 1 2)
3.802 Å, 2θ 23.40, intensity 79, (0 1 -2)
3.871 Å, 2θ 22.98, intensity 68, (1 0 -2)
2.758 Å, 2θ 32.47, intensity 63, (-2 1 1)
3.261 Å, 2θ 27.35, intensity 56, (0 2 1)
5.910 Å, 2θ 14.99, intensity 54, (0 1 -1)
5.219 Å, 2θ 16.99, intensity 50, (0 1 1)

Structural model:
Unit cell a=5.581 b=7.740 c=8.661 alpha=92.91 beta=107.62 gamma=102.35
Space group P1 (No. 1)
Unique sites:
Ge: 0.000 0.000 0.000 x1
Ge: 0.078 0.415 0.745 x1
Ge: 0.401 0.377 0.351 x1
Ge: 0.755 0.504 0.070 x1
I: 0.169 0.859 0.591 x1
I: 0.635 0.887 0.496 x1
F: 0.127 0.484 0.247 x1
F: 0.139 0.234 0.884 x1
F: 0.205 0.140 0.222 x1
F: 0.280 0.325 0.523 x1
F: 0.414 0.551 0.856 x1
F: 0.723 0.086 0.996 x1
F: 0.847 0.750 0.130 x1
F: 0.942 0.534 0.911 x1


Starting from DFT lattice parameters and positions (GGA-PBE), the PXRD pattern of K2GeF6 was simulated for CuKα.

Main lines, by intensity (2θ from 10° to 90°):
4.466 Å, 2θ 19.88, intensity 100, (1 0 1)
2.233 Å, 2θ 40.39, intensity 81, (2 0 2)
3.468 Å, 2θ 25.69, intensity 63, (1 0 2)
2.919 Å, 2θ 30.63, intensity 59, (1 1 0)
1.978 Å, 2θ 45.87, intensity 40, (2 0 3)
2.690 Å, 2θ 33.31, intensity 34, (1 0 3)
4.766 Å, 2θ 18.62, intensity 34, (0 0 2)
1.459 Å, 2θ 63.77, intensity 25, (2 2 0)
1.638 Å, 2θ 56.17, intensity 22, (2 1 3)
1.522 Å, 2θ 60.86, intensity 20, (2 0 5)

Structural model:
Unit cell a=5.8377 b=5.8377 c=9.5322 alpha=90.00 beta=90.00 gamma=120.00
Space group P6_3mc (No. 186)
Unique sites:
K: 0.0000 0.0000 0.0000 x2
K: 0.3333 0.6667 0.2773 x2
Ge: 0.3333 0.6667 0.6634 x2
F: 0.0388 0.5194 0.5505 x6
F: 0.1824 0.3647 0.7700 x6


Starting from DFT lattice parameters and positions (GGA-PBE), the PXRD pattern of KGe2F5 was simulated for CuKα.

Main lines, by intensity (2θ from 10° to 90°):
4.036 Å, 2θ 22.02, intensity 100, (1 2 1)
3.249 Å, 2θ 27.46, intensity 83, (2 1 1)
3.617 Å, 2θ 24.61, intensity 79, (1 3 0)
2.223 Å, 2θ 40.59, intensity 48, (3 2 1)
3.254 Å, 2θ 27.41, intensity 43, (1 1 2)
4.892 Å, 2θ 18.13, intensity 41, (1 1 1)
1.886 Å, 2θ 48.25, intensity 32, (0 0 4)
1.994 Å, 2θ 45.49, intensity 32, (2 5 1)
2.610 Å, 2θ 34.37, intensity 29, (1 3 2)
3.767 Å, 2θ 23.62, intensity 29, (0 0 2)

Structural model:
Unit cell a=7.526 b=12.373 c=7.538 alpha=90.00 beta=90.00 gamma=90.00
Space group Pbcn (No. 60)
Unique sites:
K: 0.000 0.048 0.250 x4
Ge: 0.094 0.341 0.024 x8
F: 0.000 0.411 0.250 x4
F: 0.183 0.226 0.153 x8
F: 0.195 0.079 0.543 x8


Starting from DFT lattice parameters and positions (GGA-PBE), the PXRD pattern of KTl2GeF6 was simulated for CuKα.

Main lines, by intensity (2θ from 10° to 90°):
6.688 Å, 2θ 13.24, intensity 100, (0 0 1)
3.177 Å, 2θ 28.09, intensity 70, (1 1 0)
2.870 Å, 2θ 31.17, intensity 54, (1 1 1)
4.249 Å, 2θ 20.91, intensity 54, (0 1 1)
2.858 Å, 2θ 31.30, intensity 43, (1 0 2)
2.544 Å, 2θ 35.28, intensity 36, (2 0 1)
1.767 Å, 2θ 51.73, intensity 34, (0 3 1)
2.125 Å, 2θ 42.55, intensity 34, (0 2 2)
2.066 Å, 2θ 43.81, intensity 21, (1 0 3)
1.521 Å, 2θ 60.92, intensity 18, (2 1 3)

Structural model:
Unit cell a=6.3536 b=6.3536 c=6.6882 alpha=90.00 beta=90.00 gamma=120.00
Space group P-3m1 (No. 164)
Unique sites:
K: 0.0000 0.0000 0.0000 x1
Tl: 0.3333 0.6667 0.4008 x2
Ge: 0.0000 0.0000 0.5000 x1
F: 0.1496 0.2992 0.6754 x6


Starting from DFT lattice parameters and positions (GGA-PBE), the PXRD pattern of KTlGeF6 was simulated for CuKα.

Main lines, by intensity (2θ from 10° to 90°):
3.771 Å, 2θ 23.59, intensity 100, (1 1 1)
3.112 Å, 2θ 28.69, intensity 33, (2 0 0)
2.013 Å, 2θ 45.04, intensity 30, (1 3 -2)
5.390 Å, 2θ 16.45, intensity 29, (0 2 0)
2.400 Å, 2θ 37.47, intensity 27, (0 4 1)
1.902 Å, 2θ 47.83, intensity 19, (2 4 -1)
2.370 Å, 2θ 37.96, intensity 10, (1 1 2)
1.898 Å, 2θ 47.93, intensity 10, (3 1 1)
1.332 Å, 2θ 70.74, intensity 9, (2 4 3)
1.673 Å, 2θ 54.89, intensity 8, (1 1 -3)

Structural model:
Unit cell a=6.214 b=10.796 c=5.279 alpha=90.00 beta=90.07 gamma=90.00
Space group C2 (No. 5)
Unique sites:
K: 0.000 0.000 0.000 x2
Tl: 0.000 0.667 0.500 x2
Ge: 0.000 0.333 0.000 x2
F: 0.120 0.455 0.801 x4
F: 0.122 0.212 0.801 x4
F: 0.244 0.332 0.198 x4


Starting from DFT lattice parameters and positions (GGA-PBE), the PXRD pattern of LaGeF was simulated for CuKα.

Main lines, by intensity (2θ from 10° to 90°):
2.481 Å, 2θ 36.21, intensity 100, (1 3 1)
3.140 Å, 2θ 28.42, intensity 98, (1 3 0)
2.854 Å, 2θ 31.34, intensity 72, (1 1 1)
3.514 Å, 2θ 25.35, intensity 43, (0 2 1)
2.041 Å, 2θ 44.39, intensity 42, (0 6 1)
2.666 Å, 2θ 33.61, intensity 35, (0 4 1)
2.101 Å, 2θ 43.06, intensity 34, (2 0 0)
1.700 Å, 2θ 53.92, intensity 33, (1 3 2)
2.023 Å, 2θ 44.81, intensity 31, (0 0 2)
1.825 Å, 2θ 49.98, intensity 29, (1 7 0)

Structural model:
Unit cell a=4.201 b=14.183 c=4.045 alpha=90.00 beta=90.00 gamma=90.00
Space group Cmcm (No. 63)
Unique sites:
La: 0.000 0.137 0.250 x4
Ge: 0.000 0.448 0.250 x4
F: 0.000 0.255 0.750 x4


Starting from DFT lattice parameters and positions (GGA-PBE), the PXRD pattern of Li2GeF6 was simulated for CuKα.

Main lines, by intensity (2θ from 10° to 90°):
4.274 Å, 2θ 20.78, intensity 100, (1 1 0)
3.958 Å, 2θ 22.46, intensity 82, (0 1 1)
2.183 Å, 2θ 41.36, intensity 44, (3 0 1)
1.699 Å, 2θ 53.98, intensity 37, (3 0 2)
2.904 Å, 2θ 30.79, intensity 32, (2 0 1)
2.402 Å, 2θ 37.44, intensity 25, (1 2 1)
1.425 Å, 2θ 65.53, intensity 17, (3 3 0)
2.054 Å, 2θ 44.09, intensity 14, (1 1 2)
1.880 Å, 2θ 48.41, intensity 13, (3 1 1)
1.579 Å, 2θ 58.46, intensity 13, (2 2 2)

Structural model:
Unit cell a=8.5474 b=8.5474 c=4.6846 alpha=90.00 beta=90.00 gamma=120.00
Space group P321 (No. 150)
Unique sites:
Li: 0.0000 0.3659 0.0000 x3
Li: 0.0000 0.7030 0.5000 x3
Ge: 0.0000 0.0000 0.0000 x1
Ge: 0.3333 0.6667 0.4877 x2
F: 0.0959 0.2045 0.2192 x6
F: 0.1296 0.5796 0.2669 x6
F: 0.2238 0.4620 0.7084 x6